Tl6Cd2In: computed powder XRD pattern (Cu Kα, 1.54184 Å), based on a DFT-relaxed cell (GGA-PBE, Alexandria).

Cell and atoms:
Cell: 3.4362 3.4362 25.5280 Å, 90.00 90.00 120.00°
Space group P-6m2 (No. 187)
Inequivalent atoms, fractional coordinates:
1 Tl 0.0000 0.0000 0.0637
2 Tl 0.0000 0.0000 0.2743
3 Tl 0.3333 0.6667 0.3912
4 Cd 0.3333 0.6667 0.1685
5 In 0.0000 0.0000 0.5000

Largest 10 diffraction maxima, by angle, 2θ = 10–90°:
- 2θ 30.03, rel. 56.8, (1 0 0)
- 2θ 30.24, rel. 18.8, (1 0 1)
- 2θ 31.54, rel. 56.4, (0 0 9)
- 2θ 33.22, rel. 81.6, (1 0 4)
- 2θ 34.90, rel. 100.0, (1 0 5)
- 2θ 36.86, rel. 17.8, (1 0 6)
- 2θ 44.11, rel. 36.6, (1 0 9)
- 2θ 53.32, rel. 41.8, (1 1 0)
- 2θ 59.45, rel. 26.6, (1 0 14)
- 2θ 63.28, rel. 46.5, (1 1 9)

***

Tb3NdS4: computed powder XRD pattern (Cu Kα, 1.54184 Å), based on a DFT-relaxed cell (GGA-PBE, Alexandria).

Cell and atoms:
Cell: 8.0022 11.2180 3.9247 Å, 90.00 90.00 90.00°
Space group Cmmm (No. 65)
Inequivalent atoms, fractional coordinates:
1 Tb 0.0000 0.0000 0.0000
2 Tb 0.2500 0.2500 0.5000
3 Nd 0.0000 0.5000 0.0000
4 S 0.0000 0.2457 0.0000
5 S 0.2411 0.0000 0.5000

Largest 10 diffraction maxima, by angle, 2θ = 10–90°:
- 2θ 27.38, rel. 40.4, (2 2 0)
- 2θ 27.74, rel. 39.1, (0 2 1)
- 2θ 31.93, rel. 100.0, (2 0 1)
- 2θ 45.33, rel. 12.4, (4 0 0)
- 2θ 45.78, rel. 48.1, (2 4 1)
- 2θ 53.98, rel. 13.3, (4 2 1)
- 2θ 54.60, rel. 12.8, (2 2 2)
- 2θ 56.50, rel. 12.7, (4 4 0)
- 2θ 57.30, rel. 12.2, (0 4 2)
- 2θ 75.90, rel. 21.3, (4 4 2)

***

ErTmPbSe: computed powder XRD pattern (Cu Kα, 1.54184 Å), based on a DFT-relaxed cell (GGA-PBE, Alexandria).

Cell and atoms:
Cell: 4.2492 4.2492 5.9856 Å, 90.00 90.00 90.00°
Space group P4/mmm (No. 123)
Inequivalent atoms, fractional coordinates:
1 Er 0.0000 0.0000 0.0000
2 Tm 0.5000 0.5000 0.5000
3 Pb 0.5000 0.5000 0.0000
4 Se 0.0000 0.0000 0.5000

Largest 10 diffraction maxima, by angle, 2θ = 10–90°:
- 2θ 20.91, rel. 8.3, (1 0 0)
- 2θ 29.73, rel. 87.7, (1 1 0)
- 2θ 29.85, rel. 43.4, (0 0 2)
- 2θ 42.61, rel. 100.0, (2 0 0)
- 2θ 52.85, rel. 35.7, (2 0 2)
- 2θ 61.75, rel. 11.2, (2 2 0)
- 2θ 70.05, rel. 31.0, (3 1 0)
- 2θ 70.28, rel. 15.4, (1 1 4)
- 2θ 77.94, rel. 23.2, (3 1 2)
- 2θ 78.12, rel. 11.5, (2 0 4)

***

Pm5Hg2Pt: computed powder XRD pattern (Cu Kα, 1.54184 Å), based on a DFT-relaxed cell (GGA-PBE, Alexandria).

Cell and atoms:
Cell: 7.2611 12.6388 5.0139 Å, 90.00 90.00 90.00°
Space group Pbam (No. 55)
Inequivalent atoms, fractional coordinates:
1 Pm 0.0000 0.0000 0.0000
2 Pm 0.1379 0.2894 0.0000
3 Pm 0.1781 0.5832 0.5000
4 Hg 0.0903 0.8367 0.5000
5 Pt 0.0000 0.5000 0.0000

Largest 10 diffraction maxima, by angle, 2θ = 10–90°:
- 2θ 24.46, rel. 16.4, (2 0 0)
- 2θ 30.34, rel. 42.6, (1 3 1)
- 2θ 30.86, rel. 32.0, (1 4 0)
- 2θ 31.23, rel. 88.3, (2 1 1)
- 2θ 32.56, rel. 17.3, (2 3 0)
- 2θ 33.56, rel. 100.0, (0 4 1)
- 2θ 35.82, rel. 59.9, (0 0 2)
- 2θ 41.93, rel. 25.9, (1 5 1)
- 2θ 47.99, rel. 19.0, (1 4 2)
- 2θ 62.96, rel. 26.2, (0 4 3)

***

Sm3Er4Zn4: computed powder XRD pattern (Cu Kα, 1.54184 Å), based on a DFT-relaxed cell (GGA-PBE, Alexandria).

Cell and atoms:
Cell: 5.0563 7.1091 16.0433 Å, 90.00 90.00 90.00°
Space group Immm (No. 71)
Inequivalent atoms, fractional coordinates:
1 Sm 0.0000 0.0000 0.0000
2 Sm 0.0000 0.5000 0.1043
3 Er 0.0000 0.2713 0.3221
4 Zn 0.0000 0.0000 0.1893
5 Zn 0.0000 0.1823 0.5000

Largest 10 diffraction maxima, by angle, 2θ = 10–90°:
- 2θ 24.23, rel. 25.4, (1 0 3)
- 2θ 27.45, rel. 18.6, (0 2 2)
- 2θ 30.57, rel. 27.9, (0 1 5)
- 2θ 31.12, rel. 37.6, (1 1 4)
- 2θ 31.26, rel. 100.0, (1 2 1)
- 2θ 33.06, rel. 28.5, (1 0 5)
- 2θ 33.51, rel. 19.1, (0 0 6)
- 2θ 35.13, rel. 43.2, (1 2 3)
- 2θ 35.51, rel. 52.4, (2 0 0)
- 2θ 41.93, rel. 22.2, (1 2 5)

***

PmCdSnGe: computed powder XRD pattern (Cu Kα, 1.54184 Å), based on a DFT-relaxed cell (GGA-PBE, Alexandria).

Cell and atoms:
Cell: 4.3711 4.4603 4.9011 Å, 90.00 90.00 90.00°
Space group Pmmm (No. 47)
Inequivalent atoms, fractional coordinates:
1 Pm 0.0000 0.0000 0.0000
2 Cd 0.0000 0.5000 0.5000
3 Sn 0.5000 0.0000 0.5000
4 Ge 0.5000 0.5000 0.0000

Largest 10 diffraction maxima, by angle, 2θ = 10–90°:
- 2θ 34.05, rel. 100.0, (1 1 1)
- 2θ 36.67, rel. 20.4, (0 0 2)
- 2θ 40.45, rel. 15.6, (0 2 0)
- 2θ 41.31, rel. 14.7, (2 0 0)
- 2θ 55.73, rel. 12.1, (0 2 2)
- 2θ 56.41, rel. 11.7, (2 0 2)
- 2θ 64.36, rel. 15.7, (1 1 3)
- 2θ 69.48, rel. 12.5, (1 3 1)
- 2θ 70.68, rel. 11.9, (3 1 1)
- 2θ 71.69, rel. 11.4, (2 2 2)